Structure and simulated X-ray diffraction stick pattern of Sm5Cu3 (DFT lattice parameters and positions (PBE); Cu Kα, 1.54184 Å).

The 8 most intense peaks (15° ≤ 2θ ≤ 90°), in order of falling intensity:
33.70°, rel. 100
35.79°, rel. 55
62.98°, rel. 32
25.71°, rel. 19
51.51°, rel. 19
45.88°, rel. 14
27.75°, rel. 14
57.80°, rel. 9

Crystal structure
```
Sm5Cu3
1.0
3.548 0.000 0.000
0.000 3.548 0.000
0.000 0.000 16.072
Sm Cu
5 3
Cartesian
0.000 0.000 0.000
0.000 0.000 3.522
0.000 0.000 12.551
1.774 1.774 6.273
1.774 1.774 9.799
0.000 0.000 8.036
1.774 1.774 1.760
1.774 1.774 14.312
```



Structure and simulated X-ray diffraction stick pattern of La8DyTh3 (DFT lattice parameters and positions (PBE); Cu Kα, 1.54184 Å).

The 8 most intense peaks (15° ≤ 2θ ≤ 90°), in order of falling intensity:
31.76°, rel. 100
29.86°, rel. 31
28.94°, rel. 31
58.83°, rel. 28
49.44°, rel. 24
54.21°, rel. 22
36.02°, rel. 18
59.97°, rel. 17

Crystal structure
```
La8DyTh3
1.0
6.386 0.000 0.000
-3.193 5.531 0.000
0.000 0.000 11.970
La Dy Th
8 1 3
Cartesian
-1.060 1.837 2.885
-2.133 3.694 9.085
2.121 0.000 2.885
1.060 1.837 9.085
0.000 3.687 5.985
3.193 1.844 5.985
4.266 0.000 9.085
2.133 3.694 2.885
0.000 0.000 5.985
0.000 0.000 0.000
0.000 3.687 0.000
3.193 1.844 0.000
```



Structure and simulated X-ray diffraction stick pattern of KNd2Dy3Te6 (DFT lattice parameters and positions (PBE); Cu Kα, 1.54184 Å).

The 8 most intense peaks (15° ≤ 2θ ≤ 90°), in order of falling intensity:
28.16°, rel. 100
39.93°, rel. 26
40.56°, rel. 24
50.46°, rel. 14
39.53°, rel. 13
40.99°, rel. 12
58.24°, rel. 12
65.47°, rel. 11

Crystal structure
```
KNd2Dy3Te6
1.0
9.830 -2.202 0.000
9.830 2.202 0.000
-2.305 0.000 8.825
K Nd Dy Te
1 2 3 6
Cartesian
0.000 0.000 0.000
4.938 0.000 5.745
12.417 0.000 3.081
-1.152 0.000 4.413
6.204 0.000 1.543
11.151 0.000 7.283
1.817 0.000 5.224
3.232 0.000 0.704
9.222 0.000 2.356
8.133 0.000 6.470
14.123 0.000 8.121
15.538 0.000 3.601
```